Structure and simulated powder XRD pattern of Y3CuAu3 (a DFT-relaxed cell (GGA-PBE, Alexandria); Cu Kα, 1.54184 Å).

Principal peaks in the range 5° ≤ 2θ ≤ 70°, by angle:
two_theta, I/Imax
18.62, 22
24.05, 24
24.57, 37
32.62, 100
33.80, 25
36.58, 51
38.52, 67
39.61, 46
42.47, 53
49.39, 24
64.32, 30
65.08, 21

Structural model:
```
Y3CuAu3
1.0
3.691 0.000 0.000
0.000 4.550 0.000
0.000 0.000 19.065
Y Cu Au
6 2 6
Direct
0.000 0.000 0.000
0.000 0.000 0.372
0.000 0.500 0.189
0.500 0.000 0.689
0.500 0.500 0.500
0.500 0.500 0.872
0.000 0.500 0.757
0.500 0.000 0.257
0.000 0.000 0.532
0.000 0.000 0.831
0.000 0.500 0.625
0.500 0.000 0.125
0.500 0.500 0.032
0.500 0.500 0.331
```


Structure and simulated powder XRD pattern of CeH7Pd2Rh2 (a DFT-relaxed cell (GGA-PBE, Alexandria); Cu Kα, 1.54184 Å).

Principal peaks in the range 5° ≤ 2θ ≤ 70°, by angle:
two_theta, I/Imax
13.92, 19
24.07, 16
32.01, 60
32.71, 100
37.48, 50
39.14, 20
39.97, 85
44.68, 13
50.10, 34
64.63, 14
67.22, 15
69.30, 16

Structural model:
```
CeH7Pd2Rh2
1.0
3.841 -2.399 0.000
3.841 2.399 0.000
-2.154 0.000 6.363
Ce H Pd Rh
1 7 2 2
Direct
0.000 0.000 0.000
0.000 0.544 0.221
0.235 0.765 0.500
0.393 0.383 0.029
0.456 0.000 0.779
0.557 0.020 0.219
0.617 0.607 0.971
0.980 0.443 0.781
0.181 0.206 0.559
0.794 0.819 0.441
0.411 0.434 0.280
0.566 0.589 0.720
```


Structure and simulated powder XRD pattern of BaHf2RuO8 (a DFT-relaxed cell (GGA-PBE, Alexandria); Cu Kα, 1.54184 Å).

Principal peaks in the range 5° ≤ 2θ ≤ 70°, by angle:
two_theta, I/Imax
24.64, 100
26.02, 83
31.79, 80
32.06, 86
35.65, 27
36.62, 21
47.84, 17
48.41, 17
48.55, 17
49.47, 27
50.04, 30
60.92, 18

Structural model:
```
BaHf2RuO8
1.0
4.914 0.000 0.000
0.270 5.037 0.000
0.016 0.014 6.789
Ba Hf Ru O
1 2 1 8
Direct
0.000 0.000 0.000
0.499 0.500 0.250
0.501 0.500 0.750
0.000 0.000 0.500
0.221 0.808 0.691
0.222 0.809 0.309
0.277 0.299 0.500
0.305 0.373 0.001
0.695 0.627 0.999
0.723 0.701 0.500
0.778 0.191 0.691
0.779 0.192 0.309
```


Structure and simulated powder XRD pattern of K2Tl6Hg3 (a DFT-relaxed cell (GGA-PBE, Alexandria); Cu Kα, 1.54184 Å).

Principal peaks in the range 5° ≤ 2θ ≤ 70°, by angle:
two_theta, I/Imax
10.91, 28
18.96, 28
21.10, 11
26.26, 37
29.14, 19
34.46, 100
36.47, 24
37.97, 17
40.09, 20
47.34, 10
55.31, 16
64.35, 17

Structural model:
```
K2Tl6Hg3
1.0
9.363 0.000 0.000
-4.682 8.109 0.000
0.000 0.000 4.927
K Tl Hg
2 6 3
Direct
0.333 0.667 0.000
0.667 0.333 0.000
0.000 0.273 0.500
0.000 0.797 0.000
0.203 0.203 0.000
0.273 0.000 0.500
0.727 0.727 0.500
0.797 0.000 0.000
0.000 0.595 0.500
0.405 0.405 0.500
0.595 0.000 0.500
```